Record 1
Calculated X-ray powder pattern
Compound: CaTc
Radiation: Cu Kα (λ = 1.5418 Å)
Structure: a DFT-relaxed cell (PBE, Alexandria)
Peak positions follow from Bragg's law for the DFT cell and can differ from measured ones.

Largest 12 diffraction maxima, sorted by position, 10° ≤ 2θ ≤ 80°:
11.1 deg, rel. 100, (0 0 1)
22.4 deg, rel. 7, (0 0 2)
29.1 deg, rel. 20, (1 0 1)
29.3 deg, rel. 10, (0 1 -2)
33.8 deg, rel. 10, (0 0 3)
36.3 deg, rel. 7, (-1 1 2)
36.5 deg, rel. 7, (1 0 2)
36.6 deg, rel. 6, (0 1 -3)
44.0 deg, rel. 23, (2 -1 0)
45.4 deg, rel. 9, (1 -2 0)
45.6 deg, rel. 9, (2 -1 1)
45.6 deg, rel. 5, (0 0 4)

Structural model:
Lattice parameters (Å, degrees): 4.1178 4.1188 8.2810 103.93 90.20 119.97
Space group P-1 (No. 2)
Unique sites:
Ca 0.0901 0.1765 0.2716 x2
Tc 0.3400 0.6797 0.0200 x2



Record 2
Calculated X-ray powder pattern
Compound: Ca4TcW
Radiation: Cu Kα (λ = 1.5418 Å)
Structure: a DFT-relaxed cell (PBE, Alexandria)
Peak positions follow from Bragg's law for the DFT cell and can differ from measured ones.

Largest 12 diffraction maxima, sorted by position, 10° ≤ 2θ ≤ 80°:
17.8 deg, rel. 31, (1 1 1)
20.6 deg, rel. 7, (2 0 0)
29.3 deg, rel. 73, (2 2 0)
34.6 deg, rel. 100, (3 1 1)
36.1 deg, rel. 12, (2 2 2)
46.0 deg, rel. 9, (3 3 1)
52.0 deg, rel. 30, (4 2 2)
55.5 deg, rel. 33, (5 1 1)
60.9 deg, rel. 22, (4 4 0)
64.0 deg, rel. 7, (5 3 1)
69.0 deg, rel. 13, (6 2 0)
71.9 deg, rel. 11, (5 3 3)

Structural model:
Lattice parameters (Å, degrees): 8.6087 8.6087 8.6087 90.00 90.00 90.00
Space group F-43m (No. 216)
Unique sites:
Ca 0.1249 0.1249 0.1249 x16
Tc 0.2500 0.2500 0.7500 x4
W 0.0000 0.0000 0.5000 x4



Record 3
Calculated X-ray powder pattern
Compound: CaZrTc3
Radiation: Cu Kα (λ = 1.5418 Å)
Structure: a DFT-relaxed cell (PBE, Alexandria)
Peak positions follow from Bragg's law for the DFT cell and can differ from measured ones.

Largest 12 diffraction maxima, sorted by position, 10° ≤ 2θ ≤ 80°:
18.2 deg, rel. 72, (1 0 0)
25.8 deg, rel. 3, (1 1 0)
31.8 deg, rel. 66, (1 1 1)
36.8 deg, rel. 100, (2 0 0)
41.4 deg, rel. 35, (2 1 0)
45.5 deg, rel. 1, (2 1 1)
53.1 deg, rel. 68, (2 2 0)
56.6 deg, rel. 17, (3 0 0)
63.2 deg, rel. 26, (3 1 1)
66.4 deg, rel. 22, (2 2 2)
69.4 deg, rel. 7, (3 2 0)
78.4 deg, rel. 10, (4 0 0)

Structural model:
Lattice parameters (Å, degrees): 4.8803 4.8803 4.8803 90.00 90.00 90.00
Space group Pm-3m (No. 221)
Unique sites:
Ca 0.0000 0.0000 0.0000 x1
Zr 0.5000 0.5000 0.5000 x1
Tc 0.0000 0.5000 0.5000 x3